Record 1
This entry pairs a crystal structure of SrAl2Tc2 with its computed powder X-ray diffraction pattern. Radiation: λ = 1.5418 Å (Cu Kα). Structure: a cell relaxed with PBE.
Kinematic intensities with the Lorentz-polarization factor, no thermal factor.

Structural model:
```
data_SrAl2Tc2
_chemical_formula_sum 'Sr2 Al4 Tc4'
_cell_length_a 8.0540
_cell_length_b 8.0540
_cell_length_c 2.7445
_cell_angle_alpha 90.00
_cell_angle_beta 90.00
_cell_angle_gamma 90.00
_space_group_name_H-M_alt 'P 4/m b m'
_space_group_IT_number 127
_space_group_name_Hall '-P 4 2ab'
loop_
_atom_site_label
_atom_site_type_symbol
_atom_site_fract_x
_atom_site_fract_y
_atom_site_fract_z
Sr1 Sr 0.0000 0.0000 0.0000
Al1 Al 0.1572 0.3428 0.5000
Tc1 Tc 0.1323 0.6323 0.0000
```

Most intense lines, 15° ≤ 2θ ≤ 90°, in order of falling intensity:
two_theta, I_rel
35.24, 100
41.36, 89
24.72, 56
48.78, 43
32.63, 34
71.89, 22
52.84, 20
79.31, 18
40.38, 17
68.55, 15
65.57, 15
75.18, 14

***

Record 2
This entry pairs a crystal structure of HoGa3Ag with its computed powder X-ray diffraction pattern. Radiation: λ = 1.5418 Å (Cu Kα). Structure: a cell relaxed with PBE.
Kinematic intensities with the Lorentz-polarization factor, no thermal factor.

Structural model:
```
data_HoGa3Ag
_chemical_formula_sum 'Ho4 Ga12 Ag4'
_cell_length_a 4.1577
_cell_length_b 24.1743
_cell_length_c 4.0948
_cell_angle_alpha 90.00
_cell_angle_beta 90.00
_cell_angle_gamma 90.00
_space_group_name_H-M_alt 'C m m m'
_space_group_IT_number 65
_space_group_name_Hall '-C 2 2'
loop_
_atom_site_label
_atom_site_type_symbol
_atom_site_fract_x
_atom_site_fract_y
_atom_site_fract_z
Ho1 Ho 0.0000 0.1751 0.0000
Ga1 Ga 0.0000 0.0522 0.5000
Ga2 Ga 0.0000 0.2764 0.5000
Ga3 Ga 0.0000 0.4486 0.0000
Ag1 Ag 0.0000 0.3804 0.5000
```

Most intense lines, 15° ≤ 2θ ≤ 90°, in order of falling intensity:
two_theta, I_rel
32.64, 100
39.96, 24
43.53, 23
31.14, 22
44.24, 22
36.97, 19
63.81, 14
28.31, 14
61.12, 13
46.76, 11
58.41, 10
66.31, 10

***

Record 3
This entry pairs a crystal structure of BaHg4F12 with its computed powder X-ray diffraction pattern. Radiation: λ = 1.5418 Å (Cu Kα). Structure: a cell relaxed with PBE.
Kinematic intensities with the Lorentz-polarization factor, no thermal factor.

Structural model:
```
data_BaHg4F12
_chemical_formula_sum 'Ba2 Hg8 F24'
_cell_length_a 8.8954
_cell_length_b 8.8954
_cell_length_c 8.8954
_cell_angle_alpha 90.00
_cell_angle_beta 90.00
_cell_angle_gamma 90.00
_space_group_name_H-M_alt 'I m -3'
_space_group_IT_number 204
_space_group_name_Hall '-I 2 2 3'
loop_
_atom_site_label
_atom_site_type_symbol
_atom_site_fract_x
_atom_site_fract_y
_atom_site_fract_z
Ba1 Ba 0.0000 0.0000 0.0000
Hg1 Hg 0.2500 0.2500 0.2500
F1 F 0.0000 0.2158 0.2404
```

Most intense lines, 15° ≤ 2θ ≤ 90°, in order of falling intensity:
two_theta, I_rel
28.38, 100
19.96, 89
50.25, 46
45.61, 43
40.57, 35
80.86, 25
58.71, 22
62.66, 20
66.48, 20
34.94, 11
77.36, 8
73.80, 7

***

Record 4
This entry pairs a crystal structure of PmZrAlIr2 with its computed powder X-ray diffraction pattern. Radiation: λ = 1.5418 Å (Cu Kα). Structure: a cell relaxed with PBE.
Kinematic intensities with the Lorentz-polarization factor, no thermal factor.

Structural model:
```
data_PmZrAlIr2
_chemical_formula_sum 'Pm2 Zr2 Al2 Ir4'
_cell_length_a 4.1743
_cell_length_b 4.1743
_cell_length_c 11.8072
_cell_angle_alpha 90.00
_cell_angle_beta 90.00
_cell_angle_gamma 90.00
_space_group_name_H-M_alt 'I -4 m 2'
_space_group_IT_number 119
_space_group_name_Hall 'I -4 -2'
loop_
_atom_site_label
_atom_site_type_symbol
_atom_site_fract_x
_atom_site_fract_y
_atom_site_fract_z
Pm1 Pm 0.0000 0.0000 0.0000
Zr1 Zr 0.0000 0.5000 0.7500
Al1 Al 0.0000 0.5000 0.2500
Ir1 Ir 0.0000 0.0000 0.3888
```

Most intense lines, 15° ≤ 2θ ≤ 90°, in order of falling intensity:
two_theta, I_rel
43.35, 100
31.23, 91
44.06, 78
30.28, 70
33.96, 69
63.53, 53
22.59, 42
54.40, 38
62.98, 30
79.55, 28
71.47, 20
73.52, 14